# 1
MnAgTe3: theoretical powder diffraction line list (copper Kα), based on a DFT-relaxed cell (PBE, Alexandria).
Lines closer than 0.1° are merged.

The 6 most intense peaks (5° ≤ 2θ ≤ 70°), sorted by position:
d_spacing	intensity
3.065	100
3.014	15
2.547	14
2.300	31
2.055	39
1.750	22

Atomic structure:
Lattice parameters (Å, degrees): 7.1203 7.1203 18.0832 90.00 90.00 120.00
Space group R-3 (No. 148, hexagonal axes)
Asymmetric unit:
Mn1 0.0000 0.0000 0.1641
Ag1 0.0000 0.0000 0.3703
Te1 0.0043 0.6279 0.4192

***

# 2
MnAgTe4: theoretical powder diffraction line list (copper Kα), based on a DFT-relaxed cell (PBE, Alexandria).
Lines closer than 0.1° are merged.

The 6 most intense peaks (5° ≤ 2θ ≤ 70°), sorted by position:
d_spacing	intensity
3.700	21
2.986	79
2.796	100
2.263	25
2.066	33
2.017	41

Atomic structure:
Lattice parameters (Å, degrees): 13.416 3.239 7.955 90.00 111.55 90.00
Space group C2/m (No. 12)
Asymmetric unit:
Mn1 0.000 0.000 0.000
Ag1 0.000 0.500 0.500
Te1 0.124 0.500 0.250
Te2 0.137 0.000 0.809

***

# 3
Mn2Ag14Te9: theoretical powder diffraction line list (copper Kα), based on a DFT-relaxed cell (PBE, Alexandria).
Lines closer than 0.1° are merged.

The 6 most intense peaks (5° ≤ 2θ ≤ 70°), sorted by position:
d_spacing	intensity
3.846	100
3.761	49
2.369	83
2.346	64
2.333	50
2.321	87

Atomic structure:
Lattice parameters (Å, degrees): 8.148 8.162 11.283 90.01 90.77 119.35
Space group P-1 (No. 2)
Asymmetric unit:
Mn1 0.201 0.378 0.269
Ag1 0.119 0.935 0.570
Ag2 0.156 0.991 0.063
Ag3 0.200 0.665 0.900
Ag4 0.247 0.730 0.411
Ag5 0.454 0.953 0.730
Ag6 0.471 0.328 0.935
Ag7 0.496 0.653 0.581
Te1 0.119 0.606 0.656
Te2 0.156 0.346 0.027
Te3 0.180 0.031 0.319
Te4 0.450 0.305 0.678
Te5 0.500 0.000 0.000

***

# 4
YMn2Ag: theoretical powder diffraction line list (copper Kα), based on a DFT-relaxed cell (PBE, Alexandria).
Lines closer than 0.1° are merged.

The 6 most intense peaks (5° ≤ 2θ ≤ 70°), sorted by position:
d_spacing	intensity
4.809	17
3.643	42
2.604	99
2.290	58
2.174	100
1.669	24

Atomic structure:
Lattice parameters (Å, degrees): 4.3478 4.3478 14.4257 90.00 90.00 120.00
Space group R3m (No. 160, hexagonal axes)
Asymmetric unit:
Y1 0.0000 0.0000 0.0000
Mn1 0.0000 0.0000 0.2046
Mn2 0.0000 0.0000 0.5236
Ag1 0.0000 0.0000 0.7867

***

# 5
Mn2Zn6Ag: theoretical powder diffraction line list (copper Kα), based on a DFT-relaxed cell (PBE, Alexandria).
Lines closer than 0.1° are merged.

The 6 most intense peaks (5° ≤ 2θ ≤ 70°), sorted by position:
d_spacing	intensity
2.295	25
2.228	100
2.178	86
2.109	50
2.050	23
1.691	20

Atomic structure:
Lattice parameters (Å, degrees): 4.218 5.363 12.715 90.00 90.00 90.00
Space group Imm2 (No. 44)
Asymmetric unit:
Mn1 0.000 0.000 0.000
Mn2 0.000 0.000 0.217
Zn1 0.000 0.246 0.416
Zn2 0.000 0.247 0.813
Zn3 0.000 0.265 0.617
Ag1 0.000 0.500 0.054

***

# 6
MnZn3Ag: theoretical powder diffraction line list (copper Kα), based on a DFT-relaxed cell (PBE, Alexandria).
Lines closer than 0.1° are merged.

The 6 most intense peaks (5° ≤ 2θ ≤ 70°), sorted by position:
d_spacing	intensity
12.560	30
2.259	97
2.208	53
2.168	100
2.147	52
1.539	32

Atomic structure:
Lattice parameters (Å, degrees): 2.802 25.120 4.293 90.00 90.00 90.00
Space group Cmcm (No. 63)
Asymmetric unit:
Mn1 0.000 0.074 0.250
Zn1 0.000 0.328 0.750
Zn2 0.000 0.380 0.250
Zn3 0.000 0.477 0.250
Ag1 0.000 0.218 0.750

***

# 7
AgMo: theoretical powder diffraction line list (copper Kα), based on a DFT-relaxed cell (PBE, Alexandria).
Lines closer than 0.1° are merged.

The 6 most intense peaks (5° ≤ 2θ ≤ 70°), sorted by position:
d_spacing	intensity
3.125	2
2.344	26
2.279	100
2.248	24
1.623	16
1.601	8

Atomic structure:
Lattice parameters (Å, degrees): 3.202 4.497 9.376 90.00 90.00 90.00
Space group Cmme (No. 67)
Asymmetric unit:
Ag1 0.000 0.250 0.129
Mo1 0.000 0.250 0.612

***

# 8
Ag5Mo3: theoretical powder diffraction line list (copper Kα), based on a DFT-relaxed cell (PBE, Alexandria).
Lines closer than 0.1° are merged.

The 6 most intense peaks (5° ≤ 2θ ≤ 70°), sorted by position:
d_spacing	intensity
2.421	96
2.399	100
2.374	86
2.310	75
2.144	65
2.127	64

Atomic structure:
Lattice parameters (Å, degrees): 5.028 6.089 9.913 81.69 76.18 73.01
Space group P-1 (No. 2)
Asymmetric unit:
Ag1 0.035 0.197 0.191
Ag2 0.039 0.698 0.192
Ag3 0.201 0.544 0.559
Ag4 0.441 0.306 0.307
Ag5 0.445 0.821 0.301
Mo1 0.159 0.047 0.548
Mo2 0.339 0.923 0.959
Mo3 0.342 0.425 0.956